# 1
The following is a simulated powder diffraction line list of NaCrGe2O6. It was derived from the PBE+U geometry in the Materials Project, using λ = 1.5418 Å (Cu Kα).

Principal peaks in the range 2θ from 10° to 80°, most intense first:
Position (°2θ), I (rel.)
28.90, 100.0
29.56, 71.3
35.06, 58.5
33.88, 48.0
26.06, 30.7
34.34, 26.1
53.63, 24.7
59.04, 24.0
19.82, 23.9
54.90, 23.2

Crystal structure
```
NaCrGe2O6
1.0
5.0553 -4.4805 0.0000
5.0553 4.4805 0.0000
-1.6938 0.0000 5.2907
Na Cr Ge O
2 2 4 12
direct
0.1972 0.8028 0.7500 Na
0.8028 0.1972 0.2500 Na
0.4109 0.5891 0.2500 Cr
0.5891 0.4109 0.7500 Cr
0.1142 0.3061 0.7740 Ge
0.3061 0.1142 0.2740 Ge
0.6939 0.8858 0.7260 Ge
0.8858 0.6939 0.2260 Ge
0.1248 0.1493 0.9934 O
0.1322 0.5861 0.3097 O
0.1493 0.1248 0.4934 O
0.3123 0.4770 0.8706 O
0.4139 0.8678 0.1903 O
0.4770 0.3123 0.3706 O
0.5230 0.6877 0.6294 O
0.5861 0.1322 0.8097 O
0.6877 0.5230 0.1294 O
0.8507 0.8752 0.5066 O
0.8678 0.4139 0.6903 O
0.8752 0.8507 0.0066 O
```


# 2
The following is a simulated powder diffraction line list of NdCrGeO5. It was derived from the PBE+U geometry in the Materials Project, using λ = 1.5418 Å (Cu Kα).

Principal peaks in the range 2θ from 10° to 80°, most intense first:
Position (°2θ), I (rel.)
29.88, 100.0
28.21, 70.3
57.82, 37.3
33.29, 31.9
34.32, 23.1
52.70, 21.1
53.70, 18.2
37.01, 18.1
40.19, 17.2
46.37, 16.1

Crystal structure
```
NdCrGeO5
1.0
7.5848 0.0000 0.0000
0.0000 8.6367 0.0000
0.0000 0.0000 5.8799
Nd Cr Ge O
4 4 4 20
direct
0.1414 0.1742 0.0000 Nd
0.3586 0.6742 0.0000 Nd
0.6414 0.3258 0.0000 Nd
0.8586 0.8258 0.0000 Nd
0.0000 0.5000 0.2534 Cr
0.0000 0.5000 0.7466 Cr
0.5000 0.0000 0.2534 Cr
0.5000 0.0000 0.7466 Cr
0.1157 0.8569 0.5000 Ge
0.3843 0.3569 0.5000 Ge
0.6157 0.6431 0.5000 Ge
0.8843 0.1431 0.5000 Ge
0.0000 0.0000 0.2930 O
0.0000 0.0000 0.7070 O
0.1048 0.7179 0.2571 O
0.1048 0.7179 0.7429 O
0.1620 0.4237 0.5000 O
0.1645 0.4477 0.0000 O
0.3355 0.9477 0.0000 O
0.3380 0.9237 0.5000 O
0.3952 0.2179 0.2571 O
0.3952 0.2179 0.7429 O
0.5000 0.5000 0.2930 O
0.5000 0.5000 0.7070 O
0.6048 0.7821 0.2571 O
0.6048 0.7821 0.7429 O
0.6620 0.0763 0.5000 O
0.6645 0.0523 0.0000 O
0.8355 0.5523 0.0000 O
0.8380 0.5763 0.5000 O
0.8952 0.2821 0.2571 O
0.8952 0.2821 0.7429 O
```


# 3
The following is a simulated powder diffraction line list of CrGe2O6. It was derived from the PBE+U geometry in the Materials Project, using λ = 1.5418 Å (Cu Kα).

Principal peaks in the range 2θ from 10° to 80°, most intense first:
Position (°2θ), I (rel.)
18.94, 100.0
34.32, 99.5
29.43, 94.9
20.08, 93.7
28.39, 90.1
29.96, 75.7
30.68, 59.1
26.40, 58.7
19.36, 45.8
54.41, 37.3

Crystal structure
```
CrGe2O6
1.0
5.5724 0.0000 0.0000
1.6714 6.3323 0.0000
1.8118 0.3837 6.5540
Cr Ge O
2 4 12
direct
0.2396 0.4083 0.0948 Cr
0.7604 0.5917 0.9052 Cr
0.2345 0.2967 0.6041 Ge
0.2669 0.8765 0.2134 Ge
0.7331 0.1235 0.7866 Ge
0.7655 0.7033 0.3959 Ge
0.0525 0.1048 0.6556 O
0.1156 0.4622 0.8233 O
0.2487 0.1314 0.0819 O
0.2576 0.4337 0.3674 O
0.3717 0.6759 0.0312 O
0.4547 0.8437 0.3873 O
0.5453 0.1563 0.6127 O
0.6283 0.3241 0.9688 O
0.7424 0.5663 0.6326 O
0.7513 0.8686 0.9181 O
0.8844 0.5378 0.1767 O
0.9475 0.8952 0.3444 O
```